Record 1
This entry pairs a crystal structure of La9YTm2 with its calculated powder diffraction line list. Radiation: CuKα. Structure: DFT lattice parameters and positions (PBE).
Lines closer than 0.1° are merged.

Cell and atoms:
a b c (Å): 5.195 5.195 15.584
angles (deg): 90.00 90.00 90.00
Space group P4/mmm (No. 123)
Asymmetric unit:
La (0.000, 0.000, 0.000) (multiplicity 1)
La (0.000, 0.000, 0.334) (multiplicity 2)
La (0.000, 0.500, 0.168) (multiplicity 4)
La (0.000, 0.500, 0.500) (multiplicity 2)
Y (0.500, 0.500, 0.000) (multiplicity 1)
Tm (0.500, 0.500, 0.334) (multiplicity 2)

The 10 most intense peaks (2θ = 10–90°), by angle:
(hkl), 2θ/deg, I/Imax
0 0 2, 11.4, 1
1 0 1, 18.0, 1
1 1 3, 29.8, 100
2 0 0, 34.5, 51
2 2 0, 49.6, 36
3 1 3, 59.0, 43
2 2 6, 61.9, 12
4 0 0, 72.8, 6
3 3 3, 80.6, 17
4 2 0, 83.2, 16

Record 2
This entry pairs a crystal structure of Ho2Er2In3 with its calculated powder diffraction line list. Radiation: CuKα. Structure: DFT lattice parameters and positions (PBE).
Lines closer than 0.1° are merged.

Cell and atoms:
a b c (Å): 30.611 3.520 3.520
angles (deg): 90.00 96.56 90.00
Space group C2/m (No. 12)
Asymmetric unit:
Ho (0.070, 0.000, 0.070) (multiplicity 4)
Er (0.209, 0.000, 0.209) (multiplicity 4)
In (0.000, 0.500, 0.500) (multiplicity 2)
In (0.139, 0.500, 0.640) (multiplicity 4)

The 10 most intense peaks (2θ = 10–90°), by angle:
(hkl), 2θ/deg, I/Imax
7 1 0, 32.7, 100
1 1 -1, 36.1, 40
14 0 0, 41.6, 12
0 2 0, 52.0, 14
13 1 1, 56.2, 20
6 2 1, 62.8, 30
12 0 2, 68.6, 11
21 1 0, 70.3, 9
7 3 0, 85.8, 6
3 1 -3, 87.7, 6